# TbCeDy2S6
Theoretical powder X-ray diffraction pattern, Cu Kα X-rays. Input: a cell relaxed with PBE.
No peak broadening, texture or thermal motion is included.

Crystal structure
```
10
Lattice="3.501 2.021 6.198 -3.501 2.021 6.198 0.000 -4.042 6.198" Properties=species:S:1:pos:R:3 pbc="T T T"
Tb 0.000 0.000 0.000
Ce 0.000 0.000 9.219
Dy 0.000 0.000 3.769
Dy 0.000 0.000 13.014
S -2.573 0.180 8.094
S -1.033 -1.848 11.201
S 1.130 -2.318 8.094
S -1.084 1.819 11.201
S 1.443 2.138 8.094
S 2.117 0.029 11.201
```

Peak list (12 most intense, 10 to 90 degrees two-theta, low angle first)
Position (°2θ), d [Å], I_rel
17.46, 5.079, 40
24.13, 3.689, 100
25.44, 3.501, 100
35.35, 2.539, 49
38.81, 2.320, 79
44.06, 2.055, 49
44.85, 2.021, 49
51.40, 1.778, 25
58.35, 1.581, 16
60.77, 1.524, 20
64.54, 1.444, 20
78.63, 1.217, 23

=====

# Ce3DyTh2S6
Theoretical powder X-ray diffraction pattern, Cu Kα X-rays. Input: a cell relaxed with PBE.
No peak broadening, texture or thermal motion is included.

Crystal structure
```
12
Lattice="3.483 -6.025 0.000 3.483 6.025 0.000 -2.316 0.000 6.513" Properties=species:S:1:pos:R:3 pbc="T T T"
Ce 0.000 0.000 0.000
Ce 3.483 2.032 0.000
Ce 3.483 -2.032 0.000
Dy 2.326 0.000 3.256
Th 2.326 4.021 3.256
Th 2.326 -4.021 3.256
S 1.190 1.965 1.650
S 0.058 0.000 4.882
S 1.190 -1.965 1.650
S 3.461 1.965 4.863
S 4.593 0.000 1.630
S 3.461 -1.965 4.863
```

Peak list (12 most intense, 10 to 90 degrees two-theta, low angle first)
Position (°2θ), d [Å], I_rel
27.20, 3.279, 65
27.39, 3.256, 21
31.56, 2.835, 100
45.11, 2.010, 37
45.36, 1.999, 36
53.47, 1.714, 11
53.58, 1.710, 22
53.81, 1.704, 11
56.09, 1.640, 19
65.90, 1.417, 12
74.70, 1.271, 11
75.11, 1.265, 11

=====

# Ce3DyTm3S8
Theoretical powder X-ray diffraction pattern, Cu Kα X-rays. Input: a cell relaxed with PBE.
No peak broadening, texture or thermal motion is included.

Crystal structure
```
15
Lattice="3.903 2.254 6.526 -3.903 2.254 6.526 0.000 -4.507 6.526" Properties=species:S:1:pos:R:3 pbc="T T T"
Ce -1.952 -1.127 6.526
Ce -1.952 1.127 13.052
Ce 0.000 2.254 6.526
Dy 0.000 0.000 9.789
Tm -3.903 0.000 9.789
Tm -1.952 1.127 3.263
Tm 1.952 1.127 3.263
S -1.986 -1.147 11.335
S 0.000 0.000 4.781
S 0.000 -2.293 8.243
S -1.986 1.147 8.243
S 1.986 -1.147 11.335
S 0.000 2.293 11.335
S 0.000 0.000 14.797
S 1.986 1.147 8.243
```

Peak list (12 most intense, 10 to 90 degrees two-theta, low angle first)
Position (°2θ), d [Å], I_rel
13.57, 6.526, 10
27.33, 3.263, 18
27.92, 3.195, 52
32.18, 2.782, 100
45.77, 1.982, 37
46.53, 1.952, 35
54.81, 1.675, 17
57.70, 1.598, 18
67.33, 1.391, 11
76.03, 1.252, 16
77.16, 1.236, 16
85.79, 1.133, 12

=====

# Ce5Dy3Sb8
Theoretical powder X-ray diffraction pattern, Cu Kα X-rays. Input: a cell relaxed with PBE.
No peak broadening, texture or thermal motion is included.

Crystal structure
```
16
Lattice="4.456 2.573 7.278 -4.456 2.573 7.278 0.000 -5.145 7.278" Properties=species:S:1:pos:R:3 pbc="T T T"
Ce 0.000 0.000 0.000
Ce -2.228 -1.286 7.278
Ce -2.228 1.286 14.556
Ce 0.000 2.573 7.278
Ce 0.000 0.000 10.917
Dy -4.456 0.000 10.917
Dy -2.228 1.286 3.639
Dy 2.228 1.286 3.639
Sb -2.248 -1.298 12.704
Sb 0.000 0.000 5.414
Sb 0.000 -2.596 9.131
Sb -2.248 1.298 9.131
Sb 2.248 -1.298 12.704
Sb 0.000 2.596 12.704
Sb 0.000 0.000 16.420
Sb 2.248 1.298 9.131
```

Peak list (10 most intense, 10 to 90 degrees two-theta, low angle first)
Position (°2θ), d [Å], I_rel
12.16, 7.278, 1
24.46, 3.638, 2
28.32, 3.151, 100
40.49, 2.228, 76
47.87, 1.900, 1
50.14, 1.819, 27
58.59, 1.576, 13
66.33, 1.409, 35
73.64, 1.286, 26
87.58, 1.114, 8

=====

Q: What is the formula in the second record?
A: Ce3DyTh2S6